[1]
# U5Tc2Ru2
Simulated PXRD pattern, copper Kα. Input: a crystal structure in Alexandria, relaxed with GGA-PBE.
Kinematic intensities with the Lorentz-polarization factor, no thermal factor.

Largest 8 diffraction maxima, in order of falling intensity, 2θ from 10° to 90°:
two_theta	I/Imax
36.6	1000
37.5	834
35.3	816
40.8	560
37.6	558
38.6	468
35.6	448
40.0	355

Crystal structure
```
data_U5Tc2Ru2
_chemical_formula_sum 'U10 Tc4 Ru4'
_symmetry_space_group_name_H-M 'P 1'
_symmetry_Int_Tables_number 1
_cell_length_a 5.7077
_cell_length_b 7.8469
_cell_length_c 8.2567
_cell_angle_alpha 112.50
_cell_angle_beta 103.11
_cell_angle_gamma 91.51
loop_
_symmetry_equiv_pos_as_xyz
'x,y,z'
loop_
_atom_site_label
_atom_site_type_symbol
_atom_site_fract_x
_atom_site_fract_y
_atom_site_fract_z
_atom_site_occupancy
U1 U 0.0000 0.0000 0.0000 1
U2 U 0.0099 0.3343 0.9749 1
U3 U 0.2530 0.1052 0.3416 1
U4 U 0.3621 0.4369 0.3277 1
U5 U 0.3760 0.7559 0.7318 1
U6 U 0.5791 0.4887 0.9805 1
U7 U 0.6287 0.8675 0.0809 1
U8 U 0.8086 0.7299 0.6705 1
U9 U 0.8307 0.1052 0.4169 1
U10 U 0.9181 0.7643 0.3710 1
Tc1 Tc 0.0982 0.6766 0.0030 1
Tc2 Tc 0.2104 0.0528 0.7164 1
Tc3 Tc 0.5370 0.1739 0.0403 1
Tc4 Tc 0.6978 0.4049 0.6449 1
Ru1 Ru 0.1975 0.4242 0.6767 1
Ru2 Ru 0.3934 0.7807 0.3542 1
Ru3 Ru 0.6679 0.0586 0.6898 1
Ru4 Ru 0.8844 0.4287 0.3487 1
```

***

[2]
# U4TcRu2
Simulated PXRD pattern, copper Kα. Input: a crystal structure in Alexandria, relaxed with GGA-PBE.
Kinematic intensities with the Lorentz-polarization factor, no thermal factor.

Largest 8 diffraction maxima, in order of falling intensity, 2θ from 10° to 90°:
two_theta	I/Imax
37.6	1000
36.0	404
38.8	235
47.9	213
22.7	161
44.8	152
57.8	105
65.7	97

Crystal structure
```
data_U4TcRu2
_chemical_formula_sum 'U16 Tc4 Ru8'
_symmetry_space_group_name_H-M 'C 1 2/c 1'
_symmetry_Int_Tables_number 15
_cell_length_a 15.3055
_cell_length_b 5.4637
_cell_length_c 6.2115
_cell_angle_alpha 90.00
_cell_angle_beta 94.26
_cell_angle_gamma 90.00
loop_
_symmetry_equiv_pos_as_xyz
'x,y,z'
'-x,-y,-z'
'-x,y,-z+1/2'
'x,-y,z+1/2'
'x+1/2,y+1/2,z'
'-x+1/2,-y+1/2,-z'
'-x+1/2,y+1/2,-z+1/2'
'x+1/2,-y+1/2,z+1/2'
loop_
_atom_site_label
_atom_site_type_symbol
_atom_site_fract_x
_atom_site_fract_y
_atom_site_fract_z
_atom_site_occupancy
U1 U 0.0752 0.1159 0.3689 1
U2 U 0.1412 0.3218 0.0142 1
Tc1 Tc 0.0000 0.3991 0.7500 1
Ru1 Ru 0.2323 0.1462 0.6897 1
```

***

Number 2 is which compound?
U4TcRu2